Diffraction record for Li2Sm2Zn3. The powder diffractogram is simulated, not measured: it uses a PBE-relaxed structure and a wavelength of 1.5418 Å.

Top 8 peaks for 2θ = 5–70°, low angle first:
hkl  Position (°2θ)  intensity
0 2 0  7.6  80
0 4 0  15.3  12
1 5 0  30.5  37
0 6 1  35.5  50
1 7 0  36.0  100
2 6 1  61.1  20
1 13 1  64.1  16
1 7 2  67.3  12

Structural model:
```
data_Li2Sm2Zn3
_chemical_formula_sum 'Li4 Sm4 Zn6'
_cell_length_a 3.7881
_cell_length_b 23.1546
_cell_length_c 3.3531
_cell_angle_alpha 90.00
_cell_angle_beta 90.00
_cell_angle_gamma 90.00
_space_group_name_H-M_alt 'C m m m'
_space_group_IT_number 65
_space_group_name_Hall '-C 2 2'
loop_
_atom_site_label
_atom_site_type_symbol
_atom_site_fract_x
_atom_site_fract_y
_atom_site_fract_z
Li1 Li 0.0000 0.2140 0.0000
Sm1 Sm 0.0000 0.0796 0.0000
Zn1 Zn 0.0000 0.3371 0.5000
Zn2 Zn 0.0000 0.5000 0.5000
```

***

Diffraction record for Pm12Er5Pu. The powder diffractogram is simulated, not measured: it uses a PBE-relaxed structure and a wavelength of 1.5418 Å.

Top 8 peaks for 2θ = 5–70°, low angle first:
hkl  Position (°2θ)  intensity
0 6 0  29.9  30
0 0 2  30.1  30
3 3 1  32.1  100
0 6 2  43.0  23
3 9 1  54.5  22
3 3 3  54.7  22
6 6 0  58.3  9
6 6 2  67.0  12

Structural model:
```
data_Pm12Er5Pu
_chemical_formula_sum 'Pm24 Er10 Pu2'
_cell_length_a 11.1964
_cell_length_b 17.9101
_cell_length_c 5.9332
_cell_angle_alpha 90.00
_cell_angle_beta 90.02
_cell_angle_gamma 90.00
_space_group_name_H-M_alt 'C 1 2/m 1'
_space_group_IT_number 12
_space_group_name_Hall '-C 2y'
loop_
_atom_site_label
_atom_site_type_symbol
_atom_site_fract_x
_atom_site_fract_y
_atom_site_fract_z
Pm1 Pm 0.1576 0.0000 0.4984
Pm2 Pm 0.1600 0.1663 0.0012
Pm3 Pm 0.1619 0.3332 0.4989
Pm4 Pm 0.1645 0.5000 0.0017
Er1 Er 0.0000 0.1676 0.5000
Er2 Er 0.0000 0.3344 0.0000
Er3 Er 0.0000 0.5000 0.5000
Pu1 Pu 0.0000 0.0000 0.0000
```

***

Diffraction record for Nd4Sm2DyHo. The powder diffractogram is simulated, not measured: it uses a PBE-relaxed structure and a wavelength of 1.5418 Å.

Top 8 peaks for 2θ = 5–70°, low angle first:
hkl  Position (°2θ)  intensity
1 1 2  30.2  100
0 2 0  34.8  17
2 0 0  34.9  17
0 0 4  35.2  17
0 2 4  50.3  18
1 3 2  59.5  15
3 1 2  59.7  14
1 1 6  60.0  14

Structural model:
```
data_Nd4Sm2DyHo
_chemical_formula_sum 'Nd4 Sm2 Dy1 Ho1'
_cell_length_a 5.1371
_cell_length_b 5.1599
_cell_length_c 10.2029
_cell_angle_alpha 90.00
_cell_angle_beta 90.10
_cell_angle_gamma 90.00
_space_group_name_H-M_alt 'P 1 2/m 1'
_space_group_IT_number 10
_space_group_name_Hall '-P 2y'
loop_
_atom_site_label
_atom_site_type_symbol
_atom_site_fract_x
_atom_site_fract_y
_atom_site_fract_z
Nd1 Nd 0.0001 0.0000 0.2492
Nd2 Nd 0.5004 0.5000 0.2502
Sm1 Sm 0.0000 0.5000 0.0000
Sm2 Sm 0.5000 0.0000 0.5000
Dy1 Dy 0.0000 0.5000 0.5000
Ho1 Ho 0.5000 0.0000 0.0000
```

***

Diffraction record for KCa4B3O9. The powder diffractogram is simulated, not measured: it uses a PBE-relaxed structure and a wavelength of 1.5418 Å.

Top 8 peaks for 2θ = 5–70°, low angle first:
hkl  Position (°2θ)  intensity
1 4 0  31.9  52
1 2 2  32.4  57
4 0 0  33.4  100
2 4 0  35.1  81
2 2 2  35.6  66
4 3 1  43.3  51
2 5 1  44.6  42
4 2 2  46.4  43

Structural model:
```
data_KCa4B3O9
_chemical_formula_sum 'K4 Ca16 B12 O36'
_cell_length_a 10.7315
_cell_length_b 11.6439
_cell_length_c 6.5632
_cell_angle_alpha 90.00
_cell_angle_beta 90.00
_cell_angle_gamma 90.00
_space_group_name_H-M_alt 'A m a 2'
_space_group_IT_number 40
_space_group_name_Hall 'A 2 -2a'
loop_
_atom_site_label
_atom_site_type_symbol
_atom_site_fract_x
_atom_site_fract_y
_atom_site_fract_z
K1 K 0.2500 0.0803 0.0000
Ca1 Ca 0.0000 0.0000 0.5325
Ca2 Ca 0.0293 0.2866 0.3921
Ca3 Ca 0.2500 0.3469 0.7614
B1 B 0.0000 0.0000 0.1050
B2 B 0.2500 0.1207 0.5570
B3 B 0.2500 0.3254 0.1836
O1 O 0.0000 0.0000 0.8951
O2 O 0.0273 0.3991 0.7105
O3 O 0.1379 0.1656 0.6361
O4 O 0.1383 0.3072 0.0783
O5 O 0.2500 0.0332 0.4175
O6 O 0.2500 0.3518 0.3879
```

***

Number 3 is which compound?
Nd4Sm2DyHo

***

Repeat the fourth record exactly.
Diffraction record for KCa4B3O9. The powder diffractogram is simulated, not measured: it uses a PBE-relaxed structure and a wavelength of 1.5418 Å.

Top 8 peaks for 2θ = 5–70°, low angle first:
hkl  Position (°2θ)  intensity
1 4 0  31.9  52
1 2 2  32.4  57
4 0 0  33.4  100
2 4 0  35.1  81
2 2 2  35.6  66
4 3 1  43.3  51
2 5 1  44.6  42
4 2 2  46.4  43

Structural model:
```
data_KCa4B3O9
_chemical_formula_sum 'K4 Ca16 B12 O36'
_cell_length_a 10.7315
_cell_length_b 11.6439
_cell_length_c 6.5632
_cell_angle_alpha 90.00
_cell_angle_beta 90.00
_cell_angle_gamma 90.00
_space_group_name_H-M_alt 'A m a 2'
_space_group_IT_number 40
_space_group_name_Hall 'A 2 -2a'
loop_
_atom_site_label
_atom_site_type_symbol
_atom_site_fract_x
_atom_site_fract_y
_atom_site_fract_z
K1 K 0.2500 0.0803 0.0000
Ca1 Ca 0.0000 0.0000 0.5325
Ca2 Ca 0.0293 0.2866 0.3921
Ca3 Ca 0.2500 0.3469 0.7614
B1 B 0.0000 0.0000 0.1050
B2 B 0.2500 0.1207 0.5570
B3 B 0.2500 0.3254 0.1836
O1 O 0.0000 0.0000 0.8951
O2 O 0.0273 0.3991 0.7105
O3 O 0.1379 0.1656 0.6361
O4 O 0.1383 0.3072 0.0783
O5 O 0.2500 0.0332 0.4175
O6 O 0.2500 0.3518 0.3879
```